Structure and computed XRD peak list of K5As2Se6 (a DFT-relaxed cell (PBE, Alexandria); Cu Kα, 1.54184 Å).
Lines closer than 0.1° are merged.

Largest 12 diffraction maxima, by angle, 5 to 70 degrees two-theta:
(hkl)	d [Å]	2theta	intensity
0 0 2	7.016	12.62	59
0 1 2	6.171	14.35	73
0 2 2	4.762	18.63	33
1 1 -2	3.934	22.60	68
1 1 2	3.713	23.97	80
0 3 3	3.176	28.10	53
1 0 -4	2.940	30.40	38
1 1 -4	2.867	31.19	29
1 0 4	2.758	32.47	34
0 4 3	2.665	33.62	100
2 0 0	2.431	36.98	80
1 3 7	1.671	54.94	28

Cell and atoms:
```
data_K5As2Se6
_symmetry_space_group_name_H-M 'P 1 21/c 1'
_symmetry_Int_Tables_number 14
_cell_length_a 4.8723
_cell_length_b 12.9687
_cell_length_c 14.0636
_cell_angle_alpha 90.00
_cell_angle_beta 93.87
_cell_angle_gamma 90.00
loop_
_symmetry_equiv_pos_as_xyz
'x,y,z'
'-x,-y,-z'
'-x,y+1/2,-z+1/2'
'x,-y+1/2,z+1/2'
loop_
_atom_site_label
_atom_site_fract_x
_atom_site_fract_y
_atom_site_fract_z
K1 0.0000 0.0000 0.0000
K2 0.0145 0.0513 0.2678
K3 0.0561 0.6971 0.9826
As1 0.4880 0.2002 0.7198
Se1 0.0150 0.6962 0.7060
Se2 0.4629 0.0603 0.6081
Se3 0.4812 0.1468 0.1179
```

Structure and computed XRD peak list of K3AsSe4 (a DFT-relaxed cell (PBE, Alexandria); Cu Kα, 1.54184 Å).
Lines closer than 0.1° are merged.

Largest 12 diffraction maxima, by angle, 5 to 70 degrees two-theta:
(hkl)	d [Å]	2theta	intensity
1 1 1	5.887	15.05	98
0 0 2	5.085	17.44	27
1 2 1	4.333	20.50	36
1 2 2	3.483	25.58	27
0 1 3	3.242	27.52	45
1 0 3	3.193	27.94	31
1 1 3	3.068	29.10	26
3 0 1	3.028	29.50	38
2 3 0	2.918	30.63	100
0 4 0	2.770	32.32	36
2 2 3	2.471	36.35	33
5 3 1	1.669	55.02	27

Cell and atoms:
```
data_K3AsSe4
_symmetry_space_group_name_H-M 'P n m a'
_symmetry_Int_Tables_number 62
_cell_length_a 9.5168
_cell_length_b 11.0842
_cell_length_c 10.1695
_cell_angle_alpha 90.00
_cell_angle_beta 90.00
_cell_angle_gamma 90.00
loop_
_symmetry_equiv_pos_as_xyz
'x,y,z'
'-x,-y,-z'
'-x+1/2,-y,z+1/2'
'x+1/2,y,-z+1/2'
'x+1/2,-y+1/2,-z+1/2'
'-x+1/2,y+1/2,z+1/2'
'-x,y+1/2,-z'
'x,-y+1/2,z'
loop_
_atom_site_label
_atom_site_fract_x
_atom_site_fract_y
_atom_site_fract_z
K1 0.0751 0.0455 0.1943
K2 0.1436 0.7500 0.4213
As1 0.2275 0.7500 0.9768
Se1 0.0161 0.7500 0.1011
Se2 0.1413 0.0732 0.5248
Se3 0.1696 0.7500 0.7517
```

Structure and computed XRD peak list of K3Ta2AsSe11 (a DFT-relaxed cell (PBE, Alexandria); Cu Kα, 1.54184 Å).
Lines closer than 0.1° are merged.

Largest 12 diffraction maxima, by angle, 5 to 70 degrees two-theta:
(hkl)	d [Å]	2theta	intensity
2 0 0	7.492	11.81	19
1 1 1	6.715	13.19	100
3 3 -1	3.279	27.20	11
2 4 -1	2.991	29.87	25
0 2 3	2.970	30.09	8
3 1 -3	2.921	30.61	8
5 1 1	2.703	33.14	10
0 0 4	2.481	36.21	8
3 5 0	2.371	37.95	8
6 2 0	2.350	38.31	8
4 4 -2	2.342	38.43	7
2 6 2	1.939	46.85	7

Cell and atoms:
```
data_K3Ta2AsSe11
_symmetry_space_group_name_H-M 'C 1 c 1'
_symmetry_Int_Tables_number 9
_cell_length_a 15.2404
_cell_length_b 13.4578
_cell_length_c 10.0599
_cell_angle_alpha 90.00
_cell_angle_beta 99.22
_cell_angle_gamma 90.00
loop_
_symmetry_equiv_pos_as_xyz
'x,y,z'
'x,-y,z+1/2'
'x+1/2,y+1/2,z'
'x+1/2,-y+1/2,z+1/2'
loop_
_atom_site_label
_atom_site_fract_x
_atom_site_fract_y
_atom_site_fract_z
K1 0.0000 0.0679 0.0000
K2 0.2566 0.4265 0.8448
K3 0.3811 0.0864 0.7423
Ta1 0.1152 0.2041 0.4132
Ta2 0.2991 0.2725 0.2299
As1 0.0360 0.3418 0.6829
Se1 0.1026 0.1807 0.6695
Se2 0.1043 0.3969 0.4875
Se3 0.1310 0.3369 0.2091
Se4 0.1719 0.2480 0.0205
Se5 0.1942 0.0978 0.2495
Se6 0.2001 0.0382 0.4749
Se7 0.2890 0.2970 0.4875
Se8 0.3674 0.4223 0.1727
Se9 0.3815 0.1552 0.0765
Se10 0.4082 0.1949 0.4268
Se11 0.4644 0.3319 0.8267
```

Structure and computed XRD peak list of K2SiAs (a DFT-relaxed cell (PBE, Alexandria); Cu Kα, 1.54184 Å).
Lines closer than 0.1° are merged.

Largest 12 diffraction maxima, by angle, 5 to 70 degrees two-theta:
(hkl)	d [Å]	2theta	intensity
0 0 1	10.291	8.59	100
0 0 3	3.430	25.97	20
2 0 -2	3.144	28.39	23
1 1 1	3.115	28.66	50
1 1 -2	3.004	29.74	15
2 0 -3	2.725	32.87	13
1 1 2	2.690	33.31	22
1 1 -4	2.180	41.41	15
0 2 0	1.976	45.93	9
3 1 -1	1.971	46.05	20
1 1 4	1.942	46.79	14
2 2 -2	1.673	54.87	13

Cell and atoms:
```
data_K2SiAs
_symmetry_space_group_name_H-M 'C 1 m 1'
_symmetry_Int_Tables_number 8
_cell_length_a 6.8251
_cell_length_b 3.9520
_cell_length_c 10.5861
_cell_angle_alpha 90.00
_cell_angle_beta 103.55
_cell_angle_gamma 90.00
loop_
_symmetry_equiv_pos_as_xyz
'x,y,z'
'x,-y,z'
'x+1/2,y+1/2,z'
'x+1/2,-y+1/2,z'
loop_
_atom_site_label
_atom_site_fract_x
_atom_site_fract_y
_atom_site_fract_z
K1 0.0000 0.0000 0.0000
K2 0.2132 0.0000 0.5917
Si1 0.2548 0.5000 0.2444
As1 0.4606 0.0000 0.3526
```

Structure and computed XRD peak list of KTlSiAs2 (a DFT-relaxed cell (PBE, Alexandria); Cu Kα, 1.54184 Å).
Lines closer than 0.1° are merged.

Largest 12 diffraction maxima, by angle, 5 to 70 degrees two-theta:
(hkl)	d [Å]	2theta	intensity
0 2 0	7.027	12.60	100
0 2 1	5.269	16.83	44
0 2 2	3.464	25.72	38
1 3 1	3.368	26.46	33
0 4 1	3.214	27.75	27
2 0 0	3.055	29.24	33
1 3 2	2.717	32.96	21
0 0 3	2.655	33.77	22
2 2 1	2.643	33.92	31
2 4 1	2.214	40.75	31
2 0 3	2.004	45.26	26
2 6 1	1.810	50.42	22

Cell and atoms:
```
data_KTlSiAs2
_symmetry_space_group_name_H-M 'C m m e'
_symmetry_Int_Tables_number 67
_symmetry_space_group_name_Hall '-C 2a 2'
_cell_length_a 6.1095
_cell_length_b 14.0530
_cell_length_c 7.9637
_cell_angle_alpha 90.00
_cell_angle_beta 90.00
_cell_angle_gamma 90.00
loop_
_atom_site_label
_atom_site_fract_x
_atom_site_fract_y
_atom_site_fract_z
K1 0.0000 0.2500 0.1786
Tl1 0.0000 0.0000 0.5000
Si1 0.2500 0.0000 0.0000
As1 0.0000 0.0977 0.8451
```

Structure and computed XRD peak list of K6Sn3As5 (a DFT-relaxed cell (PBE, Alexandria); Cu Kα, 1.54184 Å).
Lines closer than 0.1° are merged.

Largest 12 diffraction maxima, by angle, 5 to 70 degrees two-theta:
(hkl)	d [Å]	2theta	intensity
0 1 1	8.921	9.91	46
1 1 1	6.896	12.84	43
0 1 2	5.205	17.03	81
1 3 0	4.540	19.55	58
2 3 2	3.065	29.13	47
2 1 3	2.997	29.81	100
1 4 2	2.986	29.92	64
0 3 3	2.974	30.05	42
3 3 1	2.836	31.55	88
2 5 2	2.374	37.89	34
3 4 3	2.130	42.43	75
3 3 5	1.770	51.63	42

Cell and atoms:
```
data_K6Sn3As5
_symmetry_space_group_name_H-M 'P m m n'
_symmetry_Int_Tables_number 59
_cell_length_a 10.8706
_cell_length_b 14.9902
_cell_length_c 11.1011
_cell_angle_alpha 90.00
_cell_angle_beta 90.00
_cell_angle_gamma 90.00
loop_
_symmetry_equiv_pos_as_xyz
'x,y,z'
'-x,-y,-z'
'-x+1/2,-y+1/2,z'
'x+1/2,y+1/2,-z'
'x+1/2,-y,-z'
'-x+1/2,y,z'
'-x,y+1/2,-z'
'x,-y+1/2,z'
loop_
_atom_site_label
_atom_site_fract_x
_atom_site_fract_y
_atom_site_fract_z
K1 0.0407 0.1033 0.1051
K2 0.0481 0.1015 0.7004
K3 0.2500 0.0306 0.4099
K4 0.2500 0.2500 0.9020
K5 0.2500 0.7500 0.4186
Sn1 0.0808 0.2500 0.3964
Sn2 0.2500 0.6241 0.1200
Sn3 0.2500 0.6474 0.7323
As1 0.0574 0.6054 0.5915
As2 0.0680 0.7500 0.1016
As3 0.2500 0.2500 0.2175
As4 0.2500 0.2500 0.5749
As5 0.2500 0.5238 0.9108
```

Structure and computed XRD peak list of KSr2As (a DFT-relaxed cell (PBE, Alexandria); Cu Kα, 1.54184 Å).
Lines closer than 0.1° are merged.

Largest 12 diffraction maxima, by angle, 5 to 70 degrees two-theta:
(hkl)	d [Å]	2theta	intensity
0 0 3	11.266	7.85	100
0 1 2	3.867	23.00	8
1 0 4	3.595	24.77	17
0 1 5	3.425	26.02	57
0 1 8	2.894	30.90	33
0 1 11	2.430	36.99	10
1 1 0	2.294	39.28	27
1 1 3	2.247	40.12	13
1 0 13	2.175	41.51	20
2 0 5	1.906	47.72	11
2 0 8	1.798	50.79	8
1 2 5	1.466	63.46	9

Cell and atoms:
```
data_KSr2As
_symmetry_space_group_name_H-M 'R 3 m'
_symmetry_Int_Tables_number 160
_symmetry_space_group_name_Hall 'R 3 -2"'
_cell_length_a 4.5872
_cell_length_b 4.5872
_cell_length_c 33.7978
_cell_angle_alpha 90.00
_cell_angle_beta 90.00
_cell_angle_gamma 120.00
loop_
_atom_site_label
_atom_site_fract_x
_atom_site_fract_y
_atom_site_fract_z
K1 0.0000 0.0000 0.0000
Sr1 0.0000 0.0000 0.5464
Sr2 0.0000 0.0000 0.7851
As1 0.0000 0.0000 0.1657
```